Diffraction record for LiVP3HO10. The XRD peak list is simulated, not measured: it uses a cell relaxed with GGA+U and Cu Kα, 1.54184 Å.

Structure:
```
data_LiVP3HO10
_space_group_name_H-M_alt 'C 1 2/c 1'
_space_group_IT_number 15
_space_group_name_Hall '-C 2yc'
_cell_length_a 12.3059
_cell_length_b 8.5729
_cell_length_c 9.4429
_cell_angle_alpha 90.00
_cell_angle_beta 112.87
_cell_angle_gamma 90.00
loop_
_atom_site_label
_atom_site_type_symbol
_atom_site_fract_x
_atom_site_fract_y
_atom_site_fract_z
Li1 Li 0.0000 0.2360 0.2500
V1 V 0.2500 0.2500 0.0000
P1 P 0.0000 0.3777 0.7500
P2 P 0.2083 0.4289 0.2990
H1 H 0.2500 0.2500 0.5000
O1 O 0.0730 0.2895 0.8923
O2 O 0.0793 0.4952 0.6961
O3 O 0.1712 0.2926 0.3811
O4 O 0.2149 0.0509 0.0913
O5 O 0.2420 0.1290 0.8138
```

Most intense lines, 10° ≤ 2θ ≤ 90°, low angle first:
| 2theta | I (rel.) |
| --- | --- |
| 12.9 | 100.0 |
| 14.5 | 66.8 |
| 15.6 | 82.5 |
| 20.4 | 39.6 |
| 21.5 | 61.6 |
| 25.7 | 29.4 |
| 29.2 | 62.9 |
| 30.2 | 35.3 |